[1]
Diffraction record for Ho2BeRh. The X-ray powder pattern is simulated, not measured: it uses a GGA-PBE-relaxed structure and copper Kα.
Kinematic intensities with the Lorentz-polarization factor, no thermal factor.

Peak list (12 most intense, 2θ = 10–90°, by angle)
index, 2θ/deg, d [Å], I (rel.)
1 0 0, 18.6, 4.763, 15
0 0 1, 25.6, 3.479, 15
1 1 0, 26.5, 3.368, 28
1 1 1, 37.2, 2.420, 100
2 0 0, 37.8, 2.381, 48
2 0 1, 46.2, 1.965, 13
0 0 2, 52.6, 1.740, 9
2 2 0, 54.5, 1.684, 17
2 0 2, 66.6, 1.405, 18
3 1 1, 67.8, 1.382, 34
2 2 2, 79.2, 1.210, 11
1 1 3, 89.3, 1.097, 9

Structural model:
a = 4.7629 Å, b = 4.7629 Å, c = 3.4792 Å
α = 90.00°, β = 90.00°, γ = 90.00°
Space group P4/mmm (No. 123)
One atom of each set of equivalent atoms:
Ho (0.0000, 0.5000, 0.0000) x2
Be (0.0000, 0.0000, 0.5000) x1
Rh (0.5000, 0.5000, 0.5000) x1

=====

[2]
Diffraction record for Pm6NiGe3. The X-ray powder pattern is simulated, not measured: it uses a GGA-PBE-relaxed structure and copper Kα.
Kinematic intensities with the Lorentz-polarization factor, no thermal factor.

Peak list (12 most intense, 2θ = 10–90°, by angle)
index, 2θ/deg, d [Å], I (rel.)
2 0 2, 21.5, 4.131, 12
2 1 1, 22.0, 4.033, 13
3 -2 2, 25.5, 3.492, 47
1 0 4, 30.6, 2.918, 19
3 1 2, 32.1, 2.786, 40
1 4 0, 36.4, 2.469, 100
6 -5 2, 47.2, 1.927, 12
0 5 4, 50.3, 1.812, 11
7 -4 2, 51.4, 1.778, 16
6 -4 4, 52.4, 1.746, 14
4 -2 6, 53.4, 1.714, 12
5 2 6, 69.8, 1.347, 12

Structural model:
a = 13.0734 Å, b = 13.0734 Å, c = 12.0820 Å
α = 90.00°, β = 90.00°, γ = 120.00°
Space group R-3 (No. 148, hexagonal axes)
One atom of each set of equivalent atoms:
Pm (0.0325, 0.2057, 0.3926) x18
Pm (0.0467, 0.2035, 0.8867) x18
Ni (0.0000, 0.0000, 0.0000) x3
Ni (0.0000, 0.0000, 0.5000) x3
Ge (0.0476, 0.2726, 0.6523) x18

=====

Question: Which formula does entry 1 have?
Answer: Ho2BeRh